1.
Starting from a structure optimized by DFT (PBE), the powder diffractogram of PmB4 was computed for Cu Kα (λ = 1.5418 Å).
Neutral-atom scattering factors, no anomalous dispersion.

Cell and atoms:
a b c (Å): 7.1923 7.1923 4.0896
angles (deg): 90.00 90.00 90.00
Space group P4/mbm (No. 127)
Inequivalent atoms, fractional coordinates:
Pm  0.1827  0.3173  0.0000
B  0.0000  0.0000  0.2042
B  0.0390  0.8253  0.5000
B  0.0878  0.5878  0.5000

Main lines, low angle first (10° ≤ 2θ ≤ 90°):
hkl 0 0 1, 21.7 deg, intensity 56
hkl 2 0 0, 24.8 deg, intensity 37
hkl 2 1 0, 27.7 deg, intensity 76
hkl 2 0 1, 33.2 deg, intensity 55
hkl 2 1 1, 35.5 deg, intensity 100
hkl 3 1 1, 45.6 deg, intensity 18
hkl 4 1 0, 52.5 deg, intensity 30
hkl 2 1 2, 53.1 deg, intensity 26
hkl 4 1 1, 57.4 deg, intensity 34
hkl 4 1 2, 71.0 deg, intensity 24

2.
Starting from a structure optimized by DFT (PBE), the powder diffractogram of Y4Hf2As3C3 was computed for Cu Kα (λ = 1.5418 Å).
Neutral-atom scattering factors, no anomalous dispersion.

Cell and atoms:
a b c (Å): 10.7822 6.2664 13.8034
angles (deg): 90.00 105.38 90.00
Space group C2/c (No. 15)
Inequivalent atoms, fractional coordinates:
Y  0.1191  0.0809  0.1054
Y  0.2131  0.0857  0.3946
Hf  0.0550  0.4151  0.9117
As  0.0000  0.1140  0.7500
As  0.1509  0.4318  0.2492
C  0.0748  0.2759  0.5000
C  0.2500  0.2500  0.0000

Main lines, low angle first (10° ≤ 2θ ≤ 90°):
hkl 1 1 0, 16.5 deg, intensity 24
hkl 0 2 0, 28.5 deg, intensity 26
hkl 3 1 -1, 28.6 deg, intensity 52
hkl 0 2 3, 35.1 deg, intensity 100
hkl 3 1 -4, 35.1 deg, intensity 98
hkl 3 1 2, 35.3 deg, intensity 95
hkl 0 0 6, 40.7 deg, intensity 33
hkl 3 3 -1, 50.6 deg, intensity 60
hkl 6 0 -2, 50.8 deg, intensity 25
hkl 6 0 -8, 66.9 deg, intensity 22

3.
Starting from a structure optimized by DFT (PBE), the powder diffractogram of ZrHg was computed for Cu Kα (λ = 1.5418 Å).
Neutral-atom scattering factors, no anomalous dispersion.

Cell and atoms:
a b c (Å): 5.0628 9.6449 5.3391
angles (deg): 90.00 90.00 90.00
Space group Pmc2_1 (No. 26)
Inequivalent atoms, fractional coordinates:
Zr  0.0000  0.0828  0.0000
Zr  0.0000  0.4159  0.9619
Zr  0.5000  0.4045  0.3758
Hg  0.0000  0.2427  0.4871
Hg  0.5000  0.0738  0.3466
Hg  0.5000  0.2561  0.8785

Main lines, low angle first (10° ≤ 2θ ≤ 90°):
hkl 1 1 1, 26.0 deg, intensity 10
hkl 0 3 1, 32.5 deg, intensity 12
hkl 0 0 2, 33.6 deg, intensity 20
hkl 2 0 0, 35.5 deg, intensity 34
hkl 1 3 1, 37.2 deg, intensity 100
hkl 1 0 2, 38.1 deg, intensity 25
hkl 2 0 2, 49.6 deg, intensity 14
hkl 0 3 3, 59.4 deg, intensity 11
hkl 3 3 1, 64.8 deg, intensity 20
hkl 2 3 3, 71.1 deg, intensity 13